Record 1
Calculated XRD peak list of Be3Rh5 for Cu Kα, 1.54184 Å, from a PBE-relaxed structure.

Cell and atoms:
```
data_Be3Rh5
_chemical_formula_sum 'Be6 Rh10'
_symmetry_space_group_name_H-M 'P 63/m c m'
_symmetry_Int_Tables_number 193
_symmetry_space_group_name_Hall '-P 6c 2'
_cell_length_a 6.5838
_cell_length_b 6.5838
_cell_length_c 5.0453
_cell_angle_alpha 90.00
_cell_angle_beta 90.00
_cell_angle_gamma 120.00
loop_
_atom_site_label
_atom_site_fract_x
_atom_site_fract_y
_atom_site_fract_z
Be1 0.0000 0.4011 0.2500
Rh1 0.0000 0.2423 0.7500
Rh2 0.3333 0.6667 0.0000
```

The 8 most intense peaks (10 to 90 degrees two-theta), sorted by position:
d = 2.851 Å, I 56, (2 0 0)
d = 2.757 Å, I 90, (1 1 1)
d = 2.307 Å, I 72, (1 0 2)
d = 2.155 Å, I 61, (2 1 0)
d = 2.002 Å, I 98, (1 1 2)
d = 1.982 Å, I 100, (2 1 1)
d = 1.901 Å, I 37, (3 0 0)
d = 1.241 Å, I 35, (4 0 2)

Record 2
Calculated XRD peak list of Be5Rh3 for Cu Kα, 1.54184 Å, from a PBE-relaxed structure.

Cell and atoms:
```
data_Be5Rh3
_chemical_formula_sum 'Be10 Rh6'
_symmetry_space_group_name_H-M 'P 1'
_symmetry_Int_Tables_number 1
_cell_length_a 4.313
_cell_length_b 6.487
_cell_length_c 6.489
_cell_angle_alpha 87.75
_cell_angle_beta 72.24
_cell_angle_gamma 72.59
loop_
_symmetry_equiv_pos_as_xyz
'x,y,z'
loop_
_atom_site_label
_atom_site_fract_x
_atom_site_fract_y
_atom_site_fract_z
Be1 0.000 0.000 0.000
Be2 0.010 0.747 0.751
Be3 0.157 0.812 0.334
Be4 0.459 0.408 0.645
Be5 0.499 0.017 0.779
Be6 0.615 0.287 0.920
Be7 0.629 0.105 0.422
Be8 0.842 0.694 0.127
Be9 0.889 0.351 0.344
Be10 0.926 0.457 0.652
Rh1 0.023 0.096 0.603
Rh2 0.060 0.356 0.966
Rh3 0.353 0.447 0.307
Rh4 0.433 0.035 0.156
Rh5 0.434 0.670 0.934
Rh6 0.633 0.748 0.494
```

The 8 most intense peaks (10 to 90 degrees two-theta), sorted by position:
d = 3.883 Å, I 34, (1 1 0)
d = 2.960 Å, I 38, (1 -1 1)
d = 2.928 Å, I 72, (1 -1 0)
d = 2.826 Å, I 64, (0 1 -2)
d = 2.808 Å, I 100, (1 2 1)
d = 2.124 Å, I 32, (0 2 2)
d = 2.059 Å, I 79, (0 3 0)
d = 1.987 Å, I 26, (0 3 -1)

Record 3
Calculated XRD peak list of Be11Rh3 for Cu Kα, 1.54184 Å, from a PBE-relaxed structure.

Cell and atoms:
```
data_Be11Rh3
_chemical_formula_sum 'Be22 Rh6'
_symmetry_space_group_name_H-M 'I m m m'
_symmetry_Int_Tables_number 71
_symmetry_space_group_name_Hall '-I 2 2'
_cell_length_a 3.506
_cell_length_b 7.585
_cell_length_c 9.644
_cell_angle_alpha 90.00
_cell_angle_beta 90.00
_cell_angle_gamma 90.00
loop_
_atom_site_label
_atom_site_fract_x
_atom_site_fract_y
_atom_site_fract_z
Be1 0.000 0.000 0.000
Be2 0.000 0.133 0.347
Be3 0.000 0.222 0.131
Be4 0.000 0.338 0.500
Rh1 0.000 0.500 0.000
Rh2 0.000 0.500 0.293
```

The 8 most intense peaks (10 to 90 degrees two-theta), sorted by position:
d = 3.792 Å, I 75, (0 2 0)
d = 3.182 Å, I 100, (1 1 0)
d = 2.960 Å, I 52, (0 1 3)
d = 2.369 Å, I 34, (1 0 3)
d = 2.051 Å, I 36, (1 3 0)
d = 2.009 Å, I 50, (1 2 3)
d = 1.987 Å, I 22, (0 3 3)
d = 1.922 Å, I 26, (1 1 4)

Record 4
Calculated XRD peak list of Be4Rh3 for Cu Kα, 1.54184 Å, from a PBE-relaxed structure.

Cell and atoms:
```
data_Be4Rh3
_chemical_formula_sum 'Be12 Rh9'
_symmetry_space_group_name_H-M 'R -3 m'
_symmetry_Int_Tables_number 166
_symmetry_space_group_name_Hall '-R 3 2"'
_cell_length_a 3.8601
_cell_length_b 3.8601
_cell_length_c 18.5734
_cell_angle_alpha 90.00
_cell_angle_beta 90.00
_cell_angle_gamma 120.00
loop_
_atom_site_label
_atom_site_fract_x
_atom_site_fract_y
_atom_site_fract_z
Be1 0.0000 0.0000 0.1204
Be2 0.0000 0.0000 0.3768
Rh1 0.0000 0.0000 0.0000
Rh2 0.0000 0.0000 0.2372
```

The 8 most intense peaks (10 to 90 degrees two-theta), sorted by position:
d = 3.290 Å, I 32, (1 0 1)
d = 3.145 Å, I 20, (0 1 2)
d = 2.713 Å, I 100, (1 0 4)
d = 2.485 Å, I 35, (0 1 5)
d = 1.930 Å, I 53, (1 1 0)
d = 1.907 Å, I 39, (0 1 8)
d = 1.573 Å, I 19, (0 2 4)
d = 1.410 Å, I 20, (1 1 9)